Starting from a DFT-relaxed cell (GGA-PBE, the Materials Project), the powder X-ray diffraction pattern of ZrS was calculated for CuKα.

Largest 6 diffraction maxima, low angle first, 10° ≤ 2θ ≤ 90°:
Position (°2θ)  intensity  (hkl)
29.49  44.0  1 1 1
34.18  100.0  2 0 0
49.11  68.0  2 2 0
58.33  19.9  3 1 1
61.19  22.8  2 2 2
82.15  29.2  4 2 0

Atomic structure:
```
data_ZrS
_chemical_formula_sum 'Zr4 S4'
_space_group_name_H-M_alt 'F m -3 m'
_space_group_IT_number 225
_space_group_name_Hall '-F 4 2 3'
_cell_length_a 5.247
_cell_length_b 5.247
_cell_length_c 5.247
_cell_angle_alpha 90.00
_cell_angle_beta 90.00
_cell_angle_gamma 90.00
loop_
_atom_site_label
_atom_site_fract_x
_atom_site_fract_y
_atom_site_fract_z
Zr1 0.000 0.000 0.000
S1 0.000 0.000 0.500
```

Starting from a DFT-relaxed cell (GGA-PBE, the Materials Project), the powder X-ray diffraction pattern of Zr3S2 was calculated for CuKα.

Largest 6 diffraction maxima, low angle first, 10° ≤ 2θ ≤ 90°:
Position (°2θ)  intensity  (hkl)
25.54  25.8  0 0 3
30.81  68.0  1 1 0
40.43  100.0  1 1 3
54.78  23.3  3 0 0
62.09  17.5  1 1 6
70.25  18.3  2 2 3

Atomic structure:
```
data_Zr3S2
_chemical_formula_sum 'Zr9 S6'
_space_group_name_H-M_alt 'R 3 2'
_space_group_IT_number 155
_space_group_name_Hall 'R 3 2"'
_cell_length_a 5.8051
_cell_length_b 5.8051
_cell_length_c 10.4633
_cell_angle_alpha 90.00
_cell_angle_beta 90.00
_cell_angle_gamma 120.00
loop_
_atom_site_label
_atom_site_fract_x
_atom_site_fract_y
_atom_site_fract_z
Zr1 0.0000 0.6613 0.0000
S1 0.0000 0.0000 0.1650
```

Starting from a DFT-relaxed cell (GGA-PBE, the Materials Project), the powder X-ray diffraction pattern of Zr3S4 was calculated for CuKα.

Largest 6 diffraction maxima, low angle first, 10° ≤ 2θ ≤ 90°:
Position (°2θ)  intensity  (hkl)
13.94  36.5  0 1 -1
29.82  26.4  0 0 8
30.75  100.0  2 0 -4
34.71  68.2  2 -2 6
39.35  49.7  0 2 6
43.39  37.0  0 2 -10

Atomic structure:
```
data_Zr3S4
_chemical_formula_sum 'Zr24 S32'
_space_group_name_H-M_alt 'P -1'
_space_group_IT_number 2
_space_group_name_Hall '-P 1'
_cell_length_a 7.317
_cell_length_b 7.352
_cell_length_c 24.325
_cell_angle_alpha 98.38
_cell_angle_beta 90.23
_cell_angle_gamma 119.70
loop_
_atom_site_label
_atom_site_fract_x
_atom_site_fract_y
_atom_site_fract_z
Zr1 0.000 0.000 0.000
Zr2 0.000 0.000 0.500
Zr3 0.000 0.500 0.000
Zr4 0.006 0.235 0.755
Zr5 0.008 0.781 0.749
Zr6 0.217 0.357 0.874
Zr7 0.246 0.107 0.127
Zr8 0.256 0.116 0.627
Zr9 0.259 0.651 0.623
Zr10 0.260 0.623 0.122
Zr11 0.276 0.885 0.377
Zr12 0.464 0.237 0.748
Zr13 0.500 0.000 0.500
Zr14 0.500 0.500 0.000
Zr15 0.500 0.500 0.500
S1 0.113 0.562 0.812
S2 0.115 0.303 0.065
S3 0.115 0.808 0.562
S4 0.119 0.317 0.563
S5 0.129 0.044 0.819
S6 0.129 0.564 0.311
S7 0.131 0.058 0.314
S8 0.155 0.824 0.057
S9 0.369 0.184 0.937
S10 0.369 0.196 0.436
S11 0.369 0.683 0.935
S12 0.370 0.442 0.685
S13 0.370 0.678 0.439
S14 0.379 0.925 0.692
S15 0.380 0.929 0.188
S16 0.386 0.435 0.189
```